[1]
Diffraction record for Rb3NaTl4. The powder X-ray diffraction pattern is computed, not measured: it uses a structure optimized by DFT (PBE) and CuKα.

Most intense lines, 2θ = 10–80°, by angle:
d/Å, I_rel, index
7.286, 92, 0 0 1
6.385, 76, 1 1 0
4.666, 33, 1 1 1
3.247, 46, 1 1 -2
3.190, 66, 2 2 0
3.165, 89, 3 1 1
3.086, 56, 1 1 2
2.988, 100, 2 2 -1
2.736, 34, 3 1 -2
2.224, 34, 5 1 1

Structural model:
Unit cell a=12.890 b=7.360 c=7.337 alpha=90.00 beta=96.78 gamma=90.00
Space group C2 (No. 5)
One atom of each set of equivalent atoms:
Rb1 0.000 0.000 0.000 (multiplicity 2)
Rb2 0.171 0.258 0.621 (multiplicity 4)
Na1 0.000 0.709 0.500 (multiplicity 2)
Tl1 0.098 0.499 0.148 (multiplicity 4)
Tl2 0.215 0.719 0.852 (multiplicity 4)

[2]
Diffraction record for Sr2AcNp3N8. The powder X-ray diffraction pattern is computed, not measured: it uses a structure optimized by DFT (PBE) and CuKα.

Most intense lines, 2θ = 10–80°, by angle:
d/Å, I_rel, index
5.881, 60, 0 0 3
3.567, 47, 1 0 4
3.050, 53, 0 1 5
3.009, 76, 1 1 3
2.989, 100, 0 2 1
2.868, 70, 2 0 2
2.499, 30, 0 2 4
1.922, 32, 1 2 5
1.784, 40, 2 0 8
1.751, 43, 2 2 0

Structural model:
Unit cell a=7.0040 b=7.0040 c=17.6422 alpha=90.00 beta=90.00 gamma=120.00
Space group R3m (No. 160, hexagonal axes)
One atom of each set of equivalent atoms:
Sr1 0.0000 0.0000 0.0000 (multiplicity 3)
Sr2 0.0000 0.0000 0.3820 (multiplicity 3)
Ac1 0.0000 0.0000 0.6131 (multiplicity 3)
Np1 0.1673 0.3345 0.8324 (multiplicity 9)
N1 0.0000 0.0000 0.2272 (multiplicity 3)
N2 0.0000 0.0000 0.7695 (multiplicity 3)
N3 0.0470 0.5235 0.7736 (multiplicity 9)
N4 0.1893 0.3786 0.5607 (multiplicity 9)

[3]
Diffraction record for Ce2ThUC4. The powder X-ray diffraction pattern is computed, not measured: it uses a structure optimized by DFT (PBE) and CuKα.

Most intense lines, 2θ = 10–80°, by angle:
d/Å, I_rel, index
5.957, 8, 1 0 0
3.120, 5, 0 1 1
2.984, 100, 0 0 2
2.585, 64, 1 1 1
1.832, 8, 0 2 0
1.827, 38, 3 1 -1
1.561, 16, 0 2 2
1.558, 27, 2 0 -4
1.494, 8, 2 2 -2
1.293, 5, 2 2 2

Structural model:
Unit cell a=6.319 b=3.663 c=6.329 alpha=90.00 beta=109.47 gamma=90.00
Space group P2/m (No. 10)
One atom of each set of equivalent atoms:
Ce1 0.000 0.000 0.000 (multiplicity 1)
Ce2 0.000 0.500 0.500 (multiplicity 1)
Th1 0.500 0.000 0.500 (multiplicity 1)
U1 0.500 0.500 0.000 (multiplicity 1)
C1 0.268 0.500 0.224 (multiplicity 2)
C2 0.277 0.000 0.781 (multiplicity 2)

What is the formula in the third record?
Ce2ThUC4